Structure and theoretical powder diffraction line list of Zr2CoSiBi (DFT lattice parameters and positions (GGA-PBE); λ = 1.5418 Å (Cu Kα)).

Peak list (6 most intense, 2θ from 15° to 90°, sorted by position)
2θ/deg	intensity	h k l
16.31	63	1 0 0
17.40	84	0 0 1
23.94	100	1 0 1
32.96	92	2 0 0
37.51	51	2 0 1
49.01	60	2 0 2

a = 5.435 Å, b = 5.435 Å, c = 5.096 Å
α = 90.00°, β = 90.00°, γ = 90.00°
Space group P4/mmm (No. 123)
Unique sites:
Zr1 0.000 0.500 0.000
Co1 0.000 0.000 0.500
Si1 0.500 0.500 0.500
Bi1 0.500 0.500 0.000